Starting from a structure optimized by DFT (PBE), the powder XRD pattern of NiAu3 was simulated for Cu Kα (λ = 1.5418 Å).

Main lines, most intense first (2θ = 10–80°):
Position (°2θ)  I_rel  (hkl)
38.72  100  1 1 1
45.01  49  2 0 0
78.81  39  3 1 1
65.55  32  2 2 0
22.07  12  1 0 0
31.41  10  1 1 0
50.68  6  2 1 0
55.92  4  2 1 1
70.09  3  3 0 0
74.49  2  3 1 0

Crystal structure
Lattice parameters (Å, degrees): 4.0279 4.0279 4.0279 90.00 90.00 90.00
Space group Pm-3m (No. 221)
One atom of each set of equivalent atoms:
Ni1 0.0000 0.0000 0.0000 x1
Au1 0.0000 0.5000 0.5000 x3

=====

Starting from a structure optimized by DFT (PBE), the powder XRD pattern of Zr3Zn3NiPdAu was simulated for Cu Kα (λ = 1.5418 Å).

Main lines, most intense first (2θ = 10–80°):
Position (°2θ)  I_rel  (hkl)
38.85  100  2 0 1
35.96  60  1 1 1
43.57  57  3 0 0
46.61  44  2 1 1
71.36  36  2 3 1
29.47  26  1 0 1
70.77  26  3 0 2
38.21  24  1 2 0
28.65  20  2 0 0
52.78  19  0 0 2

Crystal structure
Lattice parameters (Å, degrees): 7.1955 7.1955 3.4689 90.00 90.00 120.00
Space group P-6 (No. 174)
One atom of each set of equivalent atoms:
Zr1 0.0777 0.3453 0.0000 x3
Zn1 0.3926 0.3384 0.5000 x3
Ni1 0.3333 0.6667 0.5000 x1
Pd1 0.0000 0.0000 0.5000 x1
Au1 0.6667 0.3333 0.0000 x1

=====

Starting from a structure optimized by DFT (PBE), the powder XRD pattern of RbNiTeAuS2 was simulated for Cu Kα (λ = 1.5418 Å).

Main lines, most intense first (2θ = 10–80°):
Position (°2θ)  I_rel  (hkl)
31.41  100  1 3 1
10.20  66  0 2 0
17.11  51  0 0 2
40.10  42  1 3 3
34.62  35  0 0 4
53.99  25  1 3 5
35.56  23  0 6 2
13.31  22  0 2 1
32.14  19  0 6 1
30.93  17  0 6 0

Crystal structure
Lattice parameters (Å, degrees): 3.4490 17.3454 10.3642 90.00 90.00 90.00
Space group Cmcm (No. 63)
One atom of each set of equivalent atoms:
Rb1 0.0000 0.2365 0.2500 x4
Ni1 0.0000 0.5000 0.0000 x4
Te1 0.0000 0.4431 0.7500 x4
Au1 0.0000 0.0977 0.7500 x4
S1 0.0000 0.0877 0.5241 x8

=====

Starting from a structure optimized by DFT (PBE), the powder XRD pattern of Si7Ni4Au2 was simulated for Cu Kα (λ = 1.5418 Å).

Main lines, most intense first (2θ = 10–80°):
Position (°2θ)  I_rel  (hkl)
26.28  100  1 1 -1
31.92  80  2 0 2
11.74  73  0 0 1
46.06  71  1 1 3
35.59  35  4 0 1
48.14  34  0 2 0
31.01  32  4 0 -2
48.84  31  5 1 -3
32.50  29  3 1 0
14.66  27  2 0 0

Crystal structure
Lattice parameters (Å, degrees): 12.8468 3.7802 8.0182 90.00 109.88 90.00
Space group C2/m (No. 12)
One atom of each set of equivalent atoms:
Si1 0.0000 0.0000 0.0000 x2
Si2 0.0051 0.0000 0.3347 x4
Si3 0.1544 0.5000 0.7587 x4
Si4 0.1648 0.5000 0.4235 x4
Ni1 0.0056 0.5000 0.1680 x4
Ni2 0.1554 0.0000 0.5877 x4
Au1 0.1938 0.5000 0.0930 x4